Calculated X-ray powder pattern
Compound: K2H2C2O5
Radiation: Cu Kα X-rays
Structure: a crystal structure in the Materials Project, relaxed with GGA-PBE
Lines closer than 0.1° are merged.

Atomic structure:
Cell lengths 5.635, 5.635, 10.799 Å; angles 106.49, 106.49, 68.07 degrees
Element x y z (fractional)
K 0.037 0.700 0.869
K 0.300 0.963 0.631
K 0.700 0.037 0.369
K 0.963 0.300 0.131
H 0.366 0.561 0.307
H 0.439 0.634 0.193
H 0.561 0.366 0.807
H 0.634 0.439 0.693
C 0.090 0.442 0.448
C 0.442 0.090 0.948
C 0.558 0.910 0.052
C 0.910 0.558 0.552
O 0.143 0.606 0.409
O 0.166 0.196 0.408
O 0.196 0.166 0.908
O 0.394 0.857 0.091
O 0.497 0.503 0.250
O 0.503 0.497 0.750
O 0.606 0.143 0.909
O 0.804 0.834 0.092
O 0.834 0.804 0.592
O 0.857 0.394 0.591

Main lines, by intensity (2θ from 10° to 80°):
d = 2.868 Å, I 100; d = 2.496 Å, I 89; d = 3.012 Å, I 58; d = 2.479 Å, I 55; d = 2.653 Å, I 50; d = 2.041 Å, I 44; d = 3.124 Å, I 41; d = 2.536 Å, I 39; d = 4.991 Å, I 38; d = 2.788 Å, I 32; d = 2.610 Å, I 31; d = 4.081 Å, I 29